Structure and simulated PXRD pattern of CaMoF6 (a crystal structure in Alexandria, relaxed with PBE+U; Cu Kα X-rays).
Kinematic intensities with the Lorentz-polarization factor, no thermal factor.

Most intense lines, 2θ = 5–70°, by angle:
2theta	d_spacing	I_rel
18.68	4.749	20
21.31	4.169	100
29.68	3.010	18
30.95	2.889	11
35.85	2.505	13
43.41	2.084	23
47.99	1.896	24
49.70	1.834	15

Unit cell a=5.7779 b=5.7779 c=15.0748 alpha=90.00 beta=90.00 gamma=120.00
Space group R-3 (No. 148, hexagonal axes)
Asymmetric unit:
Ca1 0.0000 0.0000 0.0000
Mo1 0.0000 0.0000 0.5000
F1 0.0246 0.4342 0.2455